# 1
Calculated powder X-ray diffraction pattern of Y3CSe for Cu Kα, from a DFT-relaxed cell (GGA-PBE, Alexandria).
Intensities are scaled so that the largest is 100.

Principal peaks in the range 10° ≤ 2θ ≤ 90°, low angle first:
hkl 4 0 0, 2θ = 27.65°, 3.226 Å, intensity 27; hkl 1 3 1, 2θ = 28.66°, 3.115 Å, intensity 34; hkl 2 0 -2, 2θ = 29.18°, 3.060 Å, intensity 19; hkl 2 0 2, 2θ = 32.91°, 2.721 Å, intensity 50; hkl 3 3 -1, 2θ = 33.16°, 2.702 Å, intensity 100; hkl 3 3 1, 2θ = 35.71°, 2.514 Å, intensity 21; hkl 5 3 1, 2θ = 46.42°, 1.956 Å, intensity 28; hkl 0 6 0, 2θ = 47.89°, 1.899 Å, intensity 15; hkl 1 3 -3, 2θ = 48.39°, 1.881 Å, intensity 33; hkl 9 3 -1, 2θ = 69.61°, 1.351 Å, intensity 15

Structural model:
a = 13.041 Å, b = 11.397 Å, c = 6.496 Å
α = 90.00°, β = 98.41°, γ = 90.00°
Space group C2/c (No. 15)
Asymmetric unit:
Y  0.104  0.081  0.111
Y  0.104  0.237  0.611
Y  0.111  0.396  0.128
C  0.000  0.080  0.750
C  0.000  0.251  0.250
Se  0.245  0.418  0.513

---

# 2
Calculated powder X-ray diffraction pattern of NiI for Cu Kα, from a DFT-relaxed cell (GGA-PBE, Alexandria).
Intensities are scaled so that the largest is 100.

Principal peaks in the range 10° ≤ 2θ ≤ 90°, low angle first:
hkl 1 0 1, 2θ = 17.71°, 5.007 Å, intensity 19; hkl 1 1 0, 2θ = 22.57°, 3.939 Å, intensity 15; hkl 0 1 1, 2θ = 26.61°, 3.349 Å, intensity 40; hkl 1 1 1, 2θ = 27.75°, 3.215 Å, intensity 30; hkl 3 0 1, 2θ = 28.31°, 3.152 Å, intensity 55; hkl 3 1 0, 2θ = 31.66°, 2.826 Å, intensity 91; hkl 0 0 2, 2θ = 32.17°, 2.782 Å, intensity 54; hkl 3 1 2, 2θ = 45.76°, 1.983 Å, intensity 100; hkl 6 0 0, 2θ = 47.54°, 1.913 Å, intensity 25; hkl 2 2 1, 2θ = 49.06°, 1.857 Å, intensity 28

Structural model:
a = 11.476 Å, b = 4.194 Å, c = 5.565 Å
α = 90.00°, β = 90.00°, γ = 90.00°
Space group Pmn2_1 (No. 31)
Asymmetric unit:
Ni  0.000  0.143  0.000
Ni  0.186  0.305  0.231
I  0.000  0.647  0.245
I  0.176  0.194  0.721

---

# 3
Calculated powder X-ray diffraction pattern of PrAg2Pd4 for Cu Kα, from a DFT-relaxed cell (GGA-PBE, Alexandria).
Intensities are scaled so that the largest is 100.

Principal peaks in the range 10° ≤ 2θ ≤ 90°, low angle first:
hkl 2 0 -2, 2θ = 32.95°, 2.718 Å, intensity 20; hkl 1 1 1, 2θ = 33.16°, 2.702 Å, intensity 21; hkl 0 2 1, 2θ = 33.31°, 2.690 Å, intensity 41; hkl 2 2 -1, 2θ = 33.40°, 2.683 Å, intensity 21; hkl 2 2 0, 2θ = 36.71°, 2.448 Å, intensity 100; hkl 1 1 -2, 2θ = 37.80°, 2.380 Å, intensity 39; hkl 3 1 -2, 2θ = 37.91°, 2.373 Å, intensity 38; hkl 2 0 1, 2θ = 42.32°, 2.136 Å, intensity 65; hkl 4 0 -1, 2θ = 42.46°, 2.129 Å, intensity 21; hkl 1 3 -1, 2θ = 42.72°, 2.117 Å, intensity 40

Structural model:
a = 8.807 Å, b = 6.893 Å, c = 5.437 Å
α = 90.00°, β = 127.83°, γ = 90.00°
Space group C2/m (No. 12)
Asymmetric unit:
Pr  0.000  0.000  0.000
Ag  0.000  0.500  0.249
Pd  0.197  0.198  0.697

---

# 4
Calculated powder X-ray diffraction pattern of CsRbAuF6 for Cu Kα, from a DFT-relaxed cell (GGA-PBE, Alexandria).
Intensities are scaled so that the largest is 100.

Principal peaks in the range 10° ≤ 2θ ≤ 90°, low angle first:
hkl 0 1 0, 2θ = 16.43°, 5.396 Å, intensity 27; hkl 1 0 0, 2θ = 17.50°, 5.067 Å, intensity 23; hkl 1 0 -1, 2θ = 23.59°, 3.772 Å, intensity 51; hkl 1 1 0, 2θ = 24.14°, 3.686 Å, intensity 100; hkl 0 1 1, 2θ = 27.96°, 3.191 Å, intensity 67; hkl 0 2 -1, 2θ = 29.00°, 3.079 Å, intensity 31; hkl 1 0 2, 2θ = 36.82°, 2.441 Å, intensity 31; hkl 1 -2 0, 2θ = 37.65°, 2.389 Å, intensity 24; hkl 1 2 -2, 2θ = 37.77°, 2.382 Å, intensity 25; hkl 2 0 1, 2θ = 39.17°, 2.300 Å, intensity 26

Structural model:
a = 5.067 Å, b = 6.159 Å, c = 6.384 Å
α = 118.76°, β = 90.34°, γ = 90.17°
Space group P1 (No. 1)
Asymmetric unit:
Cs  0.000  0.000  0.000
Rb  0.435  0.653  0.307
Au  0.705  0.328  0.656
F  0.482  0.165  0.795
F  0.484  0.630  0.795
F  0.489  0.157  0.313
F  0.915  0.502  0.004
F  0.922  0.023  0.514
F  0.924  0.490  0.514

---

# 5
Calculated powder X-ray diffraction pattern of Na5In12Sn2 for Cu Kα, from a DFT-relaxed cell (GGA-PBE, Alexandria).
Intensities are scaled so that the largest is 100.

Principal peaks in the range 10° ≤ 2θ ≤ 90°, low angle first:
hkl 1 3 0, 2θ = 15.03°, 5.894 Å, intensity 40; hkl 0 4 1, 2θ = 21.80°, 4.077 Å, intensity 36; hkl 2 6 0, 2θ = 30.33°, 2.947 Å, intensity 44; hkl 1 7 1, 2θ = 30.79°, 2.904 Å, intensity 60; hkl 2 4 1, 2θ = 32.39°, 2.764 Å, intensity 100; hkl 0 0 2, 2θ = 36.12°, 2.487 Å, intensity 58; hkl 0 10 1, 2θ = 36.36°, 2.471 Å, intensity 72; hkl 2 8 1, 2θ = 39.29°, 2.293 Å, intensity 27; hkl 2 6 2, 2θ = 47.86°, 1.901 Å, intensity 24; hkl 5 3 0, 2θ = 62.58°, 1.484 Å, intensity 23

Structural model:
a = 7.520 Å, b = 28.472 Å, c = 4.973 Å
α = 90.00°, β = 90.00°, γ = 90.00°
Space group Cmmm (No. 65)
Asymmetric unit:
Na  0.000  0.000  0.000
Na  0.000  0.266  0.000
Na  0.000  0.381  0.500
In  0.000  0.086  0.500
In  0.000  0.447  0.000
In  0.198  0.199  0.500
In  0.208  0.136  0.000
Sn  0.208  0.500  0.500

---

# 6
Calculated powder X-ray diffraction pattern of Ca3Se2S for Cu Kα, from a DFT-relaxed cell (GGA-PBE, Alexandria).
Intensities are scaled so that the largest is 100.

Principal peaks in the range 10° ≤ 2θ ≤ 90°, low angle first:
hkl 0 1 3, 2θ = 26.24°, 3.397 Å, intensity 8; hkl 0 2 0, 2θ = 30.39°, 2.942 Å, intensity 100; hkl 2 0 0, 2θ = 43.51°, 2.080 Å, intensity 70; hkl 2 2 0, 2θ = 53.99°, 1.698 Å, intensity 24; hkl 2 0 6, 2θ = 63.26°, 1.470 Å, intensity 7; hkl 1 4 3, 2θ = 71.68°, 1.317 Å, intensity 10; hkl 2 2 6, 2θ = 71.76°, 1.315 Å, intensity 14; hkl 3 0 3, 2θ = 71.85°, 1.314 Å, intensity 5; hkl 2 4 0, 2θ = 79.83°, 1.201 Å, intensity 14; hkl 3 2 3, 2θ = 79.96°, 1.200 Å, intensity 7

Structural model:
a = 4.154 Å, b = 5.890 Å, c = 12.484 Å
α = 90.00°, β = 90.00°, γ = 90.00°
Space group Immm (No. 71)
Asymmetric unit:
Ca  0.000  0.000  0.000
Ca  0.000  0.000  0.340
Se  0.000  0.500  0.332
S  0.000  0.500  0.000

---

# 7
Calculated powder X-ray diffraction pattern of CeEr2Te4 for Cu Kα, from a DFT-relaxed cell (GGA-PBE, Alexandria).
Intensities are scaled so that the largest is 100.

Principal peaks in the range 10° ≤ 2θ ≤ 90°, low angle first:
hkl 2 0 0, 2θ = 17.92°, 4.949 Å, intensity 29; hkl 2 2 0, 2θ = 25.45°, 3.500 Å, intensity 75; hkl 1 0 3, 2θ = 29.71°, 3.007 Å, intensity 100; hkl 3 2 1, 2θ = 34.00°, 2.637 Å, intensity 86; hkl 3 1 2, 2θ = 34.35°, 2.611 Å, intensity 26; hkl 4 0 0, 2θ = 36.30°, 2.475 Å, intensity 52; hkl 3 0 3, 2θ = 39.52°, 2.281 Å, intensity 26; hkl 3 3 2, 2θ = 43.23°, 2.093 Å, intensity 27; hkl 3 2 3, 2θ = 43.70°, 2.071 Å, intensity 25; hkl 5 0 3, 2θ = 54.74°, 1.677 Å, intensity 25

Structural model:
a = 9.898 Å, b = 9.898 Å, c = 9.467 Å
α = 90.00°, β = 90.00°, γ = 90.00°
Space group I4_1/amd (No. 141, origin choice 2)
Asymmetric unit:
Ce  0.000  0.250  0.375
Er  0.000  0.000  0.000
Te  0.000  0.064  0.689

---

# 8
Calculated powder X-ray diffraction pattern of LaPu2O11 for Cu Kα, from a DFT-relaxed cell (GGA-PBE, Alexandria).
Intensities are scaled so that the largest is 100.

Principal peaks in the range 10° ≤ 2θ ≤ 90°, low angle first:
hkl 2 0 0, 2θ = 16.21°, 5.469 Å, intensity 55; hkl 0 2 0, 2θ = 17.10°, 5.185 Å, intensity 34; hkl 2 1 1, 2θ = 21.15°, 4.200 Å, intensity 27; hkl 2 2 0, 2θ = 23.64°, 3.763 Å, intensity 100; hkl 2 0 2, 2θ = 26.63°, 3.347 Å, intensity 68; hkl 0 2 2, 2θ = 27.20°, 3.279 Å, intensity 70; hkl 2 2 2, 2θ = 31.82°, 2.812 Å, intensity 29; hkl 4 2 2, 2θ = 43.07°, 2.100 Å, intensity 41; hkl 2 4 2, 2θ = 44.18°, 2.050 Å, intensity 39; hkl 4 0 4, 2θ = 54.85°, 1.674 Å, intensity 24

Structural model:
a = 10.938 Å, b = 10.371 Å, c = 8.466 Å
α = 90.00°, β = 90.00°, γ = 90.00°
Space group Ima2 (No. 46)
Asymmetric unit:
La  0.000  0.000  0.000
Pu  0.250  0.221  0.286
Pu  0.250  0.739  0.238
O  0.129  0.124  0.191
O  0.129  0.183  0.886
O  0.129  0.618  0.305
O  0.129  0.644  0.673
O  0.250  0.040  0.478
O  0.250  0.078  0.620
O  0.250  0.685  0.983

---

# 9
Calculated powder X-ray diffraction pattern of LaTm2SiN4 for Cu Kα, from a DFT-relaxed cell (GGA-PBE, Alexandria).
Intensities are scaled so that the largest is 100.

Principal peaks in the range 10° ≤ 2θ ≤ 90°, low angle first:
hkl 0 0 2, 2θ = 15.56°, 5.697 Å, intensity 22; hkl 0 2 3, 2θ = 28.12°, 3.173 Å, intensity 77; hkl 0 4 0, 2θ = 30.97°, 2.887 Å, intensity 44; hkl 0 0 4, 2θ = 31.41°, 2.848 Å, intensity 31; hkl 1 1 2, 2θ = 31.78°, 2.816 Å, intensity 100; hkl 1 3 0, 2θ = 35.37°, 2.538 Å, intensity 26; hkl 1 3 1, 2θ = 36.27°, 2.477 Å, intensity 40; hkl 1 3 2, 2θ = 38.85°, 2.318 Å, intensity 48; hkl 1 1 5, 2θ = 48.87°, 1.864 Å, intensity 32; hkl 1 3 5, 2θ = 54.09°, 1.695 Å, intensity 28

Structural model:
a = 3.375 Å, b = 11.548 Å, c = 11.393 Å
α = 90.00°, β = 90.00°, γ = 90.00°
Space group Cmcm (No. 63)
Asymmetric unit:
La  0.000  0.087  0.250
Tm  0.000  0.369  0.042
Si  0.000  0.177  0.750
N  0.000  0.000  0.000
N  0.000  0.263  0.626
N  0.000  0.403  0.250

---

# 10
Calculated powder X-ray diffraction pattern of NaLa2F6 for Cu Kα, from a DFT-relaxed cell (GGA-PBE, Alexandria).
Intensities are scaled so that the largest is 100.

Principal peaks in the range 10° ≤ 2θ ≤ 90°, low angle first:
hkl 0 0 2, 2θ = 10.12°, 8.744 Å, intensity 21; hkl 0 0 4, 2θ = 20.31°, 4.372 Å, intensity 13; hkl 1 0 1, 2θ = 22.41°, 3.967 Å, intensity 27; hkl 1 0 3, 2θ = 26.70°, 3.339 Å, intensity 100; hkl 1 1 0, 2θ = 31.05°, 2.880 Å, intensity 12; hkl 1 1 6, 2θ = 44.21°, 2.049 Å, intensity 46; hkl 2 0 0, 2θ = 44.48°, 2.037 Å, intensity 24; hkl 1 0 9, 2θ = 52.16°, 1.754 Å, intensity 13; hkl 2 1 3, 2θ = 52.64°, 1.739 Å, intensity 30; hkl 3 1 6, 2θ = 81.74°, 1.178 Å, intensity 13

Structural model:
a = 4.073 Å, b = 4.073 Å, c = 17.487 Å
α = 90.00°, β = 90.00°, γ = 90.00°
Space group I4/mmm (No. 139)
Asymmetric unit:
Na  0.000  0.000  0.000
La  0.000  0.000  0.341
F  0.000  0.500  0.084
F  0.000  0.500  0.250